La3Ga: theoretical XRD peak list (Cu Kα (weighted mean of Kα1 and Kα2)), based on the PBE geometry in the Materials Project.
Peak positions follow from Bragg's law for the DFT cell and can differ from measured ones.

Top 10 peaks for 10° ≤ 2θ ≤ 90°, in order of rising 2θ:
| 2θ/deg | d_spacing | Rel. int. |
| --- | --- | --- |
| 17.98 | 4.932 | 5 |
| 25.54 | 3.488 | 4 |
| 31.41 | 2.848 | 100 |
| 36.43 | 2.466 | 50 |
| 52.47 | 1.744 | 35 |
| 62.45 | 1.487 | 41 |
| 65.56 | 1.424 | 12 |
| 77.39 | 1.233 | 5 |
| 85.89 | 1.132 | 17 |
| 88.69 | 1.103 | 16 |

Atomic structure:
```
La3Ga
1.0
4.932 0.000 0.000
0.000 4.932 0.000
0.000 0.000 4.932
La Ga
3 1
direct
0.000 0.000 0.500
0.000 0.500 0.000
0.500 0.000 0.000
0.500 0.500 0.500
```

***

Tm2Ni17: theoretical XRD peak list (Cu Kα (weighted mean of Kα1 and Kα2)), based on the PBE geometry in the Materials Project.
Peak positions follow from Bragg's law for the DFT cell and can differ from measured ones.

Top 10 peaks for 10° ≤ 2θ ≤ 90°, in order of rising 2θ:
| 2θ/deg | d_spacing | Rel. int. |
| --- | --- | --- |
| 31.21 | 2.866 | 38 |
| 37.84 | 2.378 | 42 |
| 42.38 | 2.133 | 39 |
| 43.97 | 2.059 | 62 |
| 44.35 | 2.043 | 100 |
| 45.45 | 1.995 | 31 |
| 49.83 | 1.830 | 19 |
| 65.09 | 1.433 | 17 |
| 80.84 | 1.189 | 19 |
| 83.22 | 1.161 | 20 |

Atomic structure:
```
Tm2Ni17
1.0
8.237 0.000 0.000
-4.118 7.133 0.000
0.000 0.000 7.982
Tm Ni
4 34
direct
0.000 0.000 0.250
0.000 0.000 0.750
0.333 0.667 0.250
0.667 0.333 0.750
0.000 0.500 0.000
0.000 0.500 0.500
0.042 0.369 0.750
0.042 0.673 0.750
0.165 0.331 0.022
0.165 0.331 0.478
0.165 0.835 0.022
0.165 0.835 0.478
0.327 0.369 0.750
0.327 0.958 0.750
0.331 0.165 0.522
0.331 0.165 0.978
0.333 0.667 0.601
0.333 0.667 0.899
0.369 0.042 0.250
0.369 0.327 0.250
0.500 0.000 0.000
0.500 0.000 0.500
0.500 0.500 0.000
0.500 0.500 0.500
0.631 0.673 0.750
0.631 0.958 0.750
0.667 0.333 0.101
0.667 0.333 0.399
0.669 0.835 0.022
0.669 0.835 0.478
0.673 0.042 0.250
0.673 0.631 0.250
0.835 0.165 0.522
0.835 0.165 0.978
0.835 0.669 0.522
0.835 0.669 0.978
0.958 0.327 0.250
0.958 0.631 0.250
```

***

Te4Mo3WSe4: theoretical XRD peak list (Cu Kα (weighted mean of Kα1 and Kα2)), based on the PBE geometry in the Materials Project.
Peak positions follow from Bragg's law for the DFT cell and can differ from measured ones.

Top 10 peaks for 10° ≤ 2θ ≤ 90°, in order of rising 2θ:
| 2θ/deg | d_spacing | Rel. int. |
| --- | --- | --- |
| 11.33 | 7.813 | 98 |
| 29.99 | 2.979 | 50 |
| 32.14 | 2.785 | 15 |
| 35.28 | 2.544 | 100 |
| 37.97 | 2.370 | 23 |
| 42.73 | 2.116 | 63 |
| 44.48 | 2.037 | 19 |
| 53.24 | 1.721 | 37 |
| 65.49 | 1.425 | 16 |
| 75.22 | 1.263 | 18 |

Atomic structure:
```
Te4Mo3WSe4
1.0
3.442 0.000 0.000
-1.721 2.980 0.000
0.000 0.000 39.065
Te Mo W Se
4 3 1 4
direct
0.000 0.000 0.000
0.000 0.000 0.095
0.667 0.333 0.563
0.667 0.333 0.659
0.000 0.000 0.235
0.667 0.333 0.047
0.667 0.333 0.423
0.000 0.000 0.611
0.000 0.000 0.381
0.000 0.000 0.465
0.667 0.333 0.193
0.667 0.333 0.277
```

***

DyV2Fe10N: theoretical XRD peak list (Cu Kα (weighted mean of Kα1 and Kα2)), based on the PBE geometry in the Materials Project.
Peak positions follow from Bragg's law for the DFT cell and can differ from measured ones.

Top 10 peaks for 10° ≤ 2θ ≤ 90°, in order of rising 2θ:
| 2θ/deg | d_spacing | Rel. int. |
| --- | --- | --- |
| 30.03 | 2.976 | 49 |
| 36.69 | 2.449 | 28 |
| 36.91 | 2.436 | 26 |
| 42.12 | 2.145 | 46 |
| 42.46 | 2.129 | 40 |
| 42.58 | 2.123 | 63 |
| 42.69 | 2.118 | 66 |
| 43.66 | 2.073 | 100 |
| 48.83 | 1.865 | 29 |
| 71.78 | 1.315 | 26 |

Atomic structure:
```
DyV2Fe10N
1.0
-2.370 4.258 4.291
2.370 -4.258 4.291
2.370 4.258 -4.291
Dy V Fe N
1 2 10 1
direct
0.000 0.000 0.000
0.359 0.359 0.000
0.641 0.641 0.000
0.000 0.000 0.500
0.000 0.500 0.000
0.223 0.723 0.500
0.225 0.500 0.725
0.360 0.000 0.360
0.500 0.000 0.000
0.500 0.500 0.500
0.640 0.000 0.640
0.775 0.500 0.275
0.777 0.277 0.500
0.000 0.500 0.500
```

***

Nd6S4N3Cl: theoretical XRD peak list (Cu Kα (weighted mean of Kα1 and Kα2)), based on the PBE geometry in the Materials Project.
Peak positions follow from Bragg's law for the DFT cell and can differ from measured ones.

Top 10 peaks for 10° ≤ 2θ ≤ 90°, in order of rising 2θ:
| 2θ/deg | d_spacing | Rel. int. |
| --- | --- | --- |
| 26.26 | 3.394 | 100 |
| 26.70 | 3.339 | 22 |
| 26.95 | 3.309 | 95 |
| 28.79 | 3.101 | 26 |
| 33.20 | 2.699 | 21 |
| 37.78 | 2.381 | 34 |
| 38.19 | 2.356 | 24 |
| 45.07 | 2.012 | 27 |
| 46.86 | 1.939 | 24 |
| 52.91 | 1.731 | 29 |

Atomic structure:
```
Nd6S4N3Cl
1.0
11.821 0.000 0.000
0.000 4.023 0.000
0.000 0.000 26.715
Nd S N Cl
24 16 12 4
direct
0.055 0.250 0.191
0.058 0.250 0.926
0.087 0.250 0.460
0.116 0.250 0.705
0.233 0.750 0.831
0.234 0.750 0.565
0.266 0.250 0.065
0.267 0.250 0.331
0.384 0.750 0.205
0.413 0.750 0.960
0.442 0.750 0.426
0.445 0.750 0.691
0.555 0.250 0.309
0.558 0.250 0.574
0.587 0.250 0.040
0.616 0.250 0.795
0.733 0.750 0.669
0.734 0.750 0.935
0.766 0.250 0.435
0.767 0.250 0.169
0.884 0.750 0.295
0.913 0.750 0.540
0.942 0.750 0.074
0.945 0.750 0.809
0.046 0.750 0.634
0.146 0.750 0.008
0.183 0.750 0.141
0.215 0.750 0.397
0.285 0.250 0.897
0.317 0.250 0.641
0.354 0.250 0.508
0.454 0.250 0.134
0.546 0.750 0.866
0.646 0.750 0.492
0.683 0.750 0.359
0.715 0.750 0.103
0.785 0.250 0.603
0.817 0.250 0.859
0.854 0.250 0.992
0.954 0.250 0.366
0.061 0.750 0.876
0.098 0.750 0.509
0.111 0.750 0.760
0.389 0.250 0.260
0.402 0.250 0.009
0.439 0.250 0.376
0.561 0.750 0.624
0.598 0.750 0.991
0.611 0.750 0.740
0.889 0.250 0.240
0.902 0.250 0.491
0.939 0.250 0.124
0.132 0.750 0.268
0.368 0.250 0.768
0.632 0.750 0.232
0.868 0.250 0.732
```